(1)
Simulated powder XRD pattern
Compound: Nd7Sm2Sc2
Radiation: Cu Kα
Structure: a cell relaxed with PBE
Lines closer than 0.1° are merged.

Main lines, in order of rising 2θ (2θ from 10° to 90°):
2θ = 27.65°, 3.226 Å, intensity 22; 2θ = 28.13°, 3.173 Å, intensity 34; 2θ = 30.10°, 2.969 Å, intensity 22; 2θ = 31.24°, 2.863 Å, intensity 100; 2θ = 31.91°, 2.804 Å, intensity 66; 2θ = 32.97°, 2.716 Å, intensity 75; 2θ = 33.48°, 2.676 Å, intensity 63; 2θ = 47.74°, 1.905 Å, intensity 22

Atomic structure:
Cell: 6.8895 6.8895 8.2393 Å, 98.09 98.09 104.05°
Sites, in units of the cell vectors:
Nd: 0.0000 0.0000 0.0000
Nd: 0.0846 0.5137 0.8214
Nd: 0.2005 0.2005 0.4824
Nd: 0.4863 0.9154 0.1786
Nd: 0.5137 0.0846 0.8214
Nd: 0.7995 0.7995 0.5176
Nd: 0.9154 0.4863 0.1786
Sm: 0.4205 0.4205 0.1827
Sm: 0.5795 0.5795 0.8173
Sc: 0.2879 0.7121 0.5000
Sc: 0.7121 0.2879 0.5000

***

(2)
Simulated powder XRD pattern
Compound: Rb5Rh2O6
Radiation: Cu Kα
Structure: a cell relaxed with PBE
Lines closer than 0.1° are merged.

Main lines, in order of rising 2θ (2θ from 10° to 90°):
2θ = 15.85°, 5.591 Å, intensity 31; 2θ = 26.22°, 3.398 Å, intensity 59; 2θ = 27.41°, 3.254 Å, intensity 69; 2θ = 29.32°, 3.046 Å, intensity 100; 2θ = 29.95°, 2.984 Å, intensity 98; 2θ = 31.08°, 2.878 Å, intensity 38; 2θ = 33.56°, 2.670 Å, intensity 40; 2θ = 38.13°, 2.360 Å, intensity 31

Atomic structure:
Cell: 6.8327 6.8327 13.8728 Å, 92.88 92.88 65.19°
Sites, in units of the cell vectors:
Rb: 0.1057 0.8943 0.7500
Rb: 0.1451 0.7027 0.4800
Rb: 0.2973 0.8549 0.0200
Rb: 0.3248 0.3373 0.1833
Rb: 0.3373 0.3248 0.6833
Rb: 0.6627 0.6752 0.3167
Rb: 0.6752 0.6627 0.8167
Rb: 0.7027 0.1451 0.9800
Rb: 0.8549 0.2973 0.5200
Rb: 0.8943 0.1057 0.2500
Rh: 0.1806 0.4015 0.9226
Rh: 0.4015 0.1806 0.4226
Rh: 0.5985 0.8194 0.5774
Rh: 0.8194 0.5985 0.0774
O: 0.0070 0.3135 0.0102
O: 0.1186 0.3184 0.3663
O: 0.3135 0.0070 0.5102
O: 0.3184 0.1186 0.8663
O: 0.3350 0.5364 0.8641
O: 0.4636 0.6650 0.6359
O: 0.5364 0.3350 0.3641
O: 0.6650 0.4636 0.1359
O: 0.6816 0.8814 0.1337
O: 0.6865 0.9930 0.4898
O: 0.8814 0.6816 0.6337
O: 0.9930 0.6865 0.9898

***

(3)
Simulated powder XRD pattern
Compound: Pm2DyEr3
Radiation: Cu Kα
Structure: a cell relaxed with PBE
Lines closer than 0.1° are merged.

Main lines, in order of rising 2θ (2θ from 10° to 90°):
2θ = 31.68°, 2.824 Å, intensity 100; 2θ = 31.73°, 2.820 Å, intensity 30; 2θ = 41.26°, 2.188 Å, intensity 7; 2θ = 45.41°, 1.997 Å, intensity 19; 2θ = 56.37°, 1.632 Å, intensity 21; 2θ = 56.52°, 1.628 Å, intensity 16; 2θ = 63.06°, 1.474 Å, intensity 14; 2θ = 63.17°, 1.472 Å, intensity 7

Atomic structure:
Cell: 6.6118 6.6118 11.9732 Å, 107.51 107.51 50.69°
Sites, in units of the cell vectors:
Pm: 0.1248 0.1248 0.1243
Pm: 0.3752 0.3752 0.3748
Pm: 0.6248 0.6248 0.6252
Pm: 0.8752 0.8752 0.8757
Dy: 0.3340 0.3340 0.6671
Dy: 0.6660 0.6660 0.3329
Er: 0.0833 0.0833 0.4169
Er: 0.1672 0.1672 0.8333
Er: 0.4166 0.4166 0.0831
Er: 0.5834 0.5834 0.9169
Er: 0.8328 0.8328 0.1667
Er: 0.9167 0.9167 0.5831

***

(4)
Simulated powder XRD pattern
Compound: Ac12La5Dy
Radiation: Cu Kα
Structure: a cell relaxed with PBE
Lines closer than 0.1° are merged.

Main lines, in order of rising 2θ (2θ from 10° to 90°):
2θ = 26.00°, 3.427 Å, intensity 21; 2θ = 28.34°, 3.149 Å, intensity 37; 2θ = 29.68°, 3.010 Å, intensity 100; 2θ = 29.84°, 2.995 Å, intensity 46; 2θ = 46.08°, 1.970 Å, intensity 20; 2θ = 51.02°, 1.790 Å, intensity 23; 2θ = 54.99°, 1.670 Å, intensity 23; 2θ = 55.58°, 1.654 Å, intensity 16

Atomic structure:
Cell: 11.8188 11.8188 6.2978 Å, 90.01 90.01 60.45°
Sites, in units of the cell vectors:
Ac: 0.1613 0.8387 0.0000
Ac: 0.1719 0.4967 0.0011
Ac: 0.2773 0.9529 0.5006
Ac: 0.2852 0.6129 0.5003
Ac: 0.4967 0.1719 0.0011
Ac: 0.5054 0.8296 0.0002
Ac: 0.6129 0.2852 0.5003
Ac: 0.6213 0.9463 0.5006
Ac: 0.8296 0.5054 0.0002
Ac: 0.8387 0.1613 0.0000
Ac: 0.9463 0.6213 0.5006
Ac: 0.9529 0.2773 0.5006
La: 0.1719 0.1719 0.0003
La: 0.2778 0.2778 0.5010
La: 0.5066 0.5066 0.0009
La: 0.6115 0.6115 0.5004
La: 0.8404 0.8404 0.0014
Dy: 0.9464 0.9464 0.5005

***

(5)
Simulated powder XRD pattern
Compound: LiSm2Ge4Pt3
Radiation: Cu Kα
Structure: a cell relaxed with PBE
Lines closer than 0.1° are merged.

Main lines, in order of rising 2θ (2θ from 10° to 90°):
2θ = 27.00°, 3.303 Å, intensity 37; 2θ = 29.48°, 3.030 Å, intensity 36; 2θ = 33.30°, 2.690 Å, intensity 100; 2θ = 34.28°, 2.616 Å, intensity 96; 2θ = 42.18°, 2.143 Å, intensity 82; 2θ = 48.78°, 1.867 Å, intensity 44; 2θ = 54.77°, 1.676 Å, intensity 49; 2θ = 66.42°, 1.407 Å, intensity 35

Atomic structure:
Cell: 4.2851 4.2851 10.3692 Å, 90.00 90.00 90.00°
Sites, in units of the cell vectors:
Li: 0.0000 0.0000 0.0000
Sm: 0.0000 0.5000 0.7544
Sm: 0.5000 0.0000 0.2456
Ge: 0.0000 0.0000 0.5000
Ge: 0.0000 0.5000 0.1332
Ge: 0.5000 0.0000 0.8668
Ge: 0.5000 0.5000 0.5000
Pt: 0.0000 0.5000 0.3715
Pt: 0.5000 0.0000 0.6285
Pt: 0.5000 0.5000 0.0000

***

(6)
Simulated powder XRD pattern
Compound: Hg2PPb
Radiation: Cu Kα
Structure: a cell relaxed with PBE
Lines closer than 0.1° are merged.

Main lines, in order of rising 2θ (2θ from 10° to 90°):
2θ = 15.86°, 5.587 Å, intensity 29; 2θ = 28.45°, 3.137 Å, intensity 54; 2θ = 29.53°, 3.025 Å, intensity 95; 2θ = 31.31°, 2.857 Å, intensity 78; 2θ = 32.05°, 2.793 Å, intensity 100; 2θ = 32.72°, 2.737 Å, intensity 39; 2θ = 32.95°, 2.718 Å, intensity 66; 2θ = 41.55°, 2.173 Å, intensity 27

Atomic structure:
Cell: 6.0994 6.2922 6.2989 Å, 116.77 93.92 93.73°
Sites, in units of the cell vectors:
Hg: 0.0000 0.0000 0.0000
Hg: 0.0569 0.1057 0.5523
Hg: 0.5522 0.9787 0.4295
Hg: 0.6100 0.5308 0.5341
P: 0.1285 0.5739 0.8823
P: 0.4829 0.6512 0.9604
Pb: 0.0707 0.5472 0.3146
Pb: 0.5388 0.2181 0.9877

***

(7)
Simulated powder XRD pattern
Compound: NaBe6As4
Radiation: Cu Kα
Structure: a cell relaxed with PBE
Lines closer than 0.1° are merged.

Main lines, in order of rising 2θ (2θ from 10° to 90°):
2θ = 26.32°, 3.387 Å, intensity 27; 2θ = 29.99°, 2.979 Å, intensity 100; 2θ = 34.23°, 2.619 Å, intensity 36; 2θ = 45.11°, 2.010 Å, intensity 27; 2θ = 49.19°, 1.852 Å, intensity 19; 2θ = 53.58°, 1.711 Å, intensity 18; 2θ = 58.69°, 1.573 Å, intensity 29; 2θ = 75.68°, 1.257 Å, intensity 13

Atomic structure:
Cell: 12.8052 12.8052 12.8052 Å, 163.37 163.37 23.61°
Sites, in units of the cell vectors:
Na: 0.0000 0.0000 0.0000
Be: 0.1268 0.6268 0.5000
Be: 0.2500 0.7500 0.5000
Be: 0.3732 0.8732 0.5000
Be: 0.6268 0.1268 0.5000
Be: 0.7500 0.2500 0.5000
Be: 0.8732 0.3732 0.5000
As: 0.1930 0.1930 0.0000
As: 0.4223 0.4223 0.0000
As: 0.5777 0.5777 0.0000
As: 0.8070 0.8070 0.0000

***

(8)
Simulated powder XRD pattern
Compound: RbFeSe2Br
Radiation: Cu Kα
Structure: a cell relaxed with PBE
Lines closer than 0.1° are merged.

Main lines, in order of rising 2θ (2θ from 10° to 90°):
2θ = 30.55°, 2.926 Å, intensity 55; 2θ = 31.08°, 2.878 Å, intensity 100; 2θ = 38.52°, 2.337 Å, intensity 57; 2θ = 49.94°, 1.826 Å, intensity 53; 2θ = 54.63°, 1.680 Å, intensity 20; 2θ = 55.62°, 1.652 Å, intensity 19; 2θ = 64.79°, 1.439 Å, intensity 24; 2θ = 65.09°, 1.433 Å, intensity 24

Atomic structure:
Cell: 4.6739 4.6739 5.8522 Å, 90.00 90.00 90.00°
Sites, in units of the cell vectors:
Rb: 0.0000 0.0000 0.0000
Fe: 0.5000 0.5000 0.5000
Se: 0.0000 0.5000 0.5000
Se: 0.5000 0.0000 0.5000
Br: 0.5000 0.5000 0.0000